The following is a calculated X-ray powder pattern of Hg2RhPb6. It was derived from a structure optimized by DFT (PBE), using Cu Kα (weighted mean of Kα1 and Kα2).
Neutral-atom scattering factors, no anomalous dispersion.

Crystal structure
Cell: 4.326 8.210 8.210 Å, 120.15 90.00 90.00°
Positions (direct):
Hg  0.000  0.167  0.833
Hg  0.000  0.833  0.167
Rh  0.500  0.500  0.500
Pb  0.000  0.256  0.500
Pb  0.000  0.500  0.256
Pb  0.000  0.744  0.744
Pb  0.500  0.139  0.139
Pb  0.500  0.500  0.860
Pb  0.500  0.860  0.500

The 10 most intense peaks (10 to 80 degrees two-theta), low angle first:
- d = 2.976 Å, intensity 100
- d = 2.745 Å, intensity 33
- d = 2.685 Å, intensity 32
- d = 2.368 Å, intensity 41
- d = 2.281 Å, intensity 36
- d = 2.163 Å, intensity 21
- d = 1.684 Å, intensity 16
- d = 1.597 Å, intensity 25
- d = 1.526 Å, intensity 11
- d = 1.459 Å, intensity 13